Entry 1:
Structure and computed powder X-ray diffraction pattern of TlNi15 (a DFT-relaxed cell (GGA-PBE, OQMD); Cu Kα X-rays).
Peak positions follow from Bragg's law for the DFT cell and can differ from measured ones.

Structure:
```
data_TlNi15
_chemical_formula_sum 'Tl2 Ni30'
_space_group_name_H-M_alt 'P 1 m 1'
_space_group_IT_number 6
_cell_length_a 4.945
_cell_length_b 3.477
_cell_length_c 33.644
_cell_angle_alpha 90.00
_cell_angle_beta 90.01
_cell_angle_gamma 90.00
loop_
_space_group_symop_operation_xyz
'x,y,z'
'x,-y,z'
loop_
_atom_site_label
_atom_site_fract_x
_atom_site_fract_y
_atom_site_fract_z
Tl1 0.000 0.000 0.000
Tl2 0.250 0.500 0.406
Ni1 0.000 0.000 0.611
Ni2 0.000 0.000 0.684
Ni3 0.000 0.000 0.758
Ni4 0.000 0.000 0.831
Ni5 0.000 0.000 0.906
Ni6 0.001 0.000 0.537
Ni7 0.249 0.500 0.868
Ni8 0.250 0.500 0.499
Ni9 0.250 0.500 0.574
Ni10 0.250 0.500 0.647
Ni11 0.250 0.500 0.721
Ni12 0.250 0.500 0.794
Ni13 0.252 0.500 0.942
Ni14 0.499 0.000 0.537
Ni15 0.500 0.000 0.611
Ni16 0.500 0.000 0.684
Ni17 0.500 0.000 0.757
Ni18 0.500 0.000 0.831
Ni19 0.500 0.000 0.904
Ni20 0.500 0.000 0.976
Ni21 0.502 0.000 0.463
Ni22 0.748 0.500 0.942
Ni23 0.750 0.500 0.429
Ni24 0.750 0.500 0.501
Ni25 0.750 0.500 0.574
Ni26 0.750 0.500 0.648
Ni27 0.750 0.500 0.721
Ni28 0.750 0.500 0.794
Ni29 0.751 0.500 0.868
Ni30 0.998 0.000 0.463
```

Largest 10 diffraction maxima, by intensity, 2θ = 15–90°:
d = 2.014 Å, I 100.0, (2 1 0); d = 2.076 Å, I 53.6, (0 1 13); d = 1.788 Å, I 32.9, (2 0 13); d = 1.738 Å, I 30.6, (0 2 0); d = 1.977 Å, I 27.8, (0 1 14); d = 1.246 Å, I 21.0, (2 2 13); d = 1.723 Å, I 16.6, (2 0 14); d = 2.296 Å, I 15.3, (0 1 11); d = 3.455 Å, I 12.2, (0 1 1); d = 3.211 Å, I 12.0, (0 1 4)



Entry 2:
Structure and computed powder X-ray diffraction pattern of Tl8Ni (a DFT-relaxed cell (GGA-PBE, OQMD); Cu Kα X-rays).
Peak positions follow from Bragg's law for the DFT cell and can differ from measured ones.

Structure:
```
data_Tl8Ni
_chemical_formula_sum 'Tl8 Ni1'
_space_group_name_H-M_alt 'P 6/m m m'
_space_group_IT_number 191
_space_group_name_Hall '-P 6 2'
_cell_length_a 10.6609
_cell_length_b 10.6609
_cell_length_c 3.2086
_cell_angle_alpha 90.00
_cell_angle_beta 90.00
_cell_angle_gamma 120.00
loop_
_atom_site_label
_atom_site_fract_x
_atom_site_fract_y
_atom_site_fract_z
Tl1 0.1612 0.3224 0.0000
Tl2 0.3333 0.6667 0.0000
Ni1 0.0000 0.0000 0.5000
```

Largest 10 diffraction maxima, by intensity, 2θ = 15–90°:
d = 2.665 Å, I 100.0, (2 2 0); d = 2.050 Å, I 80.7, (2 2 1); d = 4.616 Å, I 77.3, (2 0 0); d = 2.635 Å, I 53.1, (2 0 1); d = 3.209 Å, I 46.9, (0 0 1); d = 1.375 Å, I 26.5, (2 2 2); d = 1.387 Å, I 22.4, (6 0 1); d = 1.533 Å, I 19.9, (4 2 1); d = 1.874 Å, I 19.4, (4 0 1); d = 1.539 Å, I 18.5, (6 0 0)



Entry 3:
Structure and computed powder X-ray diffraction pattern of Tl2Ni9 (a DFT-relaxed cell (GGA-PBE, OQMD); Cu Kα X-rays).
Peak positions follow from Bragg's law for the DFT cell and can differ from measured ones.

Structure:
```
data_Tl2Ni9
_chemical_formula_sum 'Tl2 Ni9'
_space_group_name_H-M_alt 'P -3 m 1'
_space_group_IT_number 164
_space_group_name_Hall '-P 3 2"'
_cell_length_a 2.7213
_cell_length_b 2.7213
_cell_length_c 32.5125
_cell_angle_alpha 90.00
_cell_angle_beta 90.00
_cell_angle_gamma 120.00
loop_
_atom_site_label
_atom_site_fract_x
_atom_site_fract_y
_atom_site_fract_z
Tl1 0.3333 0.6667 0.3082
Ni1 0.0000 0.0000 0.0000
Ni2 0.0000 0.0000 0.1760
Ni3 0.3333 0.6667 0.1174
Ni4 0.3333 0.6667 0.7666
Ni5 0.3333 0.6667 0.9416
```

Largest 10 diffraction maxima, by intensity, 2θ = 15–90°:
d = 2.161 Å, I 100.0, (1 0 6); d = 2.216 Å, I 91.1, (1 0 5); d = 1.843 Å, I 77.4, (0 1 11); d = 1.361 Å, I 33.8, (1 1 0); d = 4.064 Å, I 33.1, (0 0 8); d = 1.974 Å, I 32.3, (0 1 9); d = 2.263 Å, I 31.1, (0 1 4); d = 2.332 Å, I 25.9, (1 0 2); d = 2.351 Å, I 25.9, (0 1 1); d = 5.419 Å, I 20.8, (0 0 6)



Entry 4:
Structure and computed powder X-ray diffraction pattern of TlNi15 (a DFT-relaxed cell (GGA-PBE, OQMD); Cu Kα X-rays).
Peak positions follow from Bragg's law for the DFT cell and can differ from measured ones.

Structure:
```
data_TlNi15
_chemical_formula_sum 'Tl2 Ni30'
_space_group_name_H-M_alt 'P m m 2'
_space_group_IT_number 25
_cell_length_a 3.613
_cell_length_b 3.614
_cell_length_c 38.311
_cell_angle_alpha 90.00
_cell_angle_beta 90.00
_cell_angle_gamma 90.00
loop_
_space_group_symop_operation_xyz
'x,y,z'
'-x,-y,z'
'-x,y,z'
'x,-y,z'
loop_
_atom_site_label
_atom_site_fract_x
_atom_site_fract_y
_atom_site_fract_z
Tl1 0.000 0.000 0.000
Tl2 0.500 0.000 0.322
Ni1 0.000 0.000 0.384
Ni2 0.000 0.000 0.471
Ni3 0.000 0.000 0.555
Ni4 0.000 0.000 0.640
Ni5 0.000 0.000 0.725
Ni6 0.000 0.000 0.809
Ni7 0.000 0.000 0.895
Ni8 0.000 0.500 0.340
Ni9 0.000 0.500 0.427
Ni10 0.000 0.500 0.513
Ni11 0.000 0.500 0.598
Ni12 0.000 0.500 0.682
Ni13 0.000 0.500 0.767
Ni14 0.000 0.500 0.852
Ni15 0.000 0.500 0.938
Ni16 0.500 0.000 0.427
Ni17 0.500 0.000 0.513
Ni18 0.500 0.000 0.598
Ni19 0.500 0.000 0.682
Ni20 0.500 0.000 0.767
Ni21 0.500 0.000 0.852
Ni22 0.500 0.000 0.938
Ni23 0.500 0.500 0.384
Ni24 0.500 0.500 0.471
Ni25 0.500 0.500 0.555
Ni26 0.500 0.500 0.640
Ni27 0.500 0.500 0.725
Ni28 0.500 0.500 0.809
Ni29 0.500 0.500 0.895
Ni30 0.500 0.500 0.982
```

Largest 10 diffraction maxima, by intensity, 2θ = 15–90°:
d = 2.060 Å, I 100.0, (1 1 11); d = 1.995 Å, I 96.3, (1 1 12); d = 1.807 Å, I 74.5, (2 0 0); d = 1.277 Å, I 22.9, (2 2 0); d = 2.254 Å, I 18.3, (1 1 8); d = 1.225 Å, I 13.7, (2 0 23); d = 2.126 Å, I 12.4, (1 1 10); d = 2.424 Å, I 12.1, (1 1 5); d = 1.665 Å, I 12.1, (0 0 23); d = 2.551 Å, I 10.2, (0 0 15)



Entry 5:
Structure and computed powder X-ray diffraction pattern of TlNi17 (a DFT-relaxed cell (GGA-PBE, OQMD); Cu Kα X-rays).
Peak positions follow from Bragg's law for the DFT cell and can differ from measured ones.

Structure:
```
data_TlNi17
_chemical_formula_sum 'Tl2 Ni34'
_space_group_name_H-M_alt 'P -3 m 1'
_space_group_IT_number 164
_space_group_name_Hall '-P 3 2"'
_cell_length_a 4.9299
_cell_length_b 4.9299
_cell_length_c 31.3248
_cell_angle_alpha 90.00
_cell_angle_beta 90.00
_cell_angle_gamma 120.00
loop_
_atom_site_label
_atom_site_fract_x
_atom_site_fract_y
_atom_site_fract_z
Tl1 0.3333 0.6667 0.2904
Ni1 0.0000 0.0000 0.0000
Ni2 0.0000 0.0000 0.1940
Ni3 0.0000 0.5000 0.0000
Ni4 0.0016 0.5008 0.1931
Ni5 0.1662 0.3325 0.1288
Ni6 0.1662 0.3323 0.9360
Ni7 0.1672 0.3345 0.7435
Ni8 0.3333 0.6667 0.0645
Ni9 0.3333 0.6667 0.8724
```

Largest 10 diffraction maxima, by intensity, 2θ = 15–90°:
d = 2.021 Å, I 100.0, (2 0 5); d = 1.764 Å, I 45.7, (0 2 10); d = 2.060 Å, I 28.0, (2 0 4); d = 1.976 Å, I 27.6, (2 0 6); d = 2.090 Å, I 26.3, (0 0 15); d = 1.232 Å, I 20.7, (2 2 0); d = 1.708 Å, I 18.3, (0 2 11); d = 1.958 Å, I 15.3, (0 0 16); d = 1.223 Å, I 13.6, (2 0 21); d = 3.305 Å, I 13.3, (0 1 6)



Entry 6:
Structure and computed powder X-ray diffraction pattern of TlNi17 (a DFT-relaxed cell (GGA-PBE, OQMD); Cu Kα X-rays).
Peak positions follow from Bragg's law for the DFT cell and can differ from measured ones.

Structure:
```
data_TlNi17
_chemical_formula_sum 'Tl2 Ni34'
_space_group_name_H-M_alt 'P 1 m 1'
_space_group_IT_number 6
_cell_length_a 4.273
_cell_length_b 4.939
_cell_length_c 31.159
_cell_angle_alpha 90.00
_cell_angle_beta 90.06
_cell_angle_gamma 90.00
loop_
_space_group_symop_operation_xyz
'x,y,z'
'x,-y,z'
loop_
_atom_site_label
_atom_site_fract_x
_atom_site_fract_y
_atom_site_fract_z
Tl1 0.000 0.000 0.000
Tl2 0.334 0.500 0.581
Ni1 0.000 0.500 0.421
Ni2 0.001 0.000 0.226
Ni3 0.001 0.000 0.420
Ni4 0.166 0.248 0.096
Ni5 0.167 0.250 0.291
Ni6 0.167 0.252 0.485
Ni7 0.333 0.000 0.161
Ni8 0.333 0.500 0.161
Ni9 0.333 0.500 0.355
Ni10 0.334 0.000 0.355
Ni11 0.335 0.000 0.549
Ni12 0.500 0.250 0.226
Ni13 0.500 0.250 0.421
Ni14 0.501 0.256 0.032
Ni15 0.662 0.500 0.486
Ni16 0.665 0.500 0.096
Ni17 0.666 0.500 0.291
Ni18 0.667 0.000 0.290
Ni19 0.668 0.000 0.485
Ni20 0.671 0.000 0.095
Ni21 0.833 0.244 0.549
Ni22 0.833 0.250 0.161
Ni23 0.834 0.250 0.355
Ni24 0.998 0.500 0.032
Ni25 0.999 0.500 0.226
```

Largest 10 diffraction maxima, by intensity, 2θ = 15–90°:
d = 2.022 Å, I 100.0, (1 2 5); d = 1.763 Å, I 46.1, (2 0 10); d = 2.061 Å, I 29.4, (1 2 4); d = 1.977 Å, I 25.1, (1 2 6); d = 1.234 Å, I 20.8, (3 2 0); d = 2.077 Å, I 17.4, (0 0 15); d = 1.706 Å, I 16.0, (2 0 11); d = 1.819 Å, I 15.0, (1 2 -9); d = 1.947 Å, I 13.4, (0 0 16); d = 1.219 Å, I 12.7, (1 2 21)